# CeVF5
Computed powder X-ray diffraction pattern, a wavelength of 1.5418 Å. Input: the PBE+U geometry in Alexandria.
Peak positions follow from Bragg's law for the DFT cell and can differ from measured ones.

Most intense lines, 10 to 80 degrees two-theta, by angle:
16.5°, intensity 41.9
20.6°, intensity 100.0
25.7°, intensity 98.4
25.9°, intensity 41.1
32.9°, intensity 17.6
33.3°, intensity 31.5
41.9°, intensity 27.6
45.1°, intensity 20.0
45.5°, intensity 24.5
52.8°, intensity 18.1

Atomic structure:
Cell: 5.847 5.847 8.038 Å, 109.36 109.36 72.11°
Fractional positions:
Ce  0.049  0.951  0.750
Ce  0.951  0.049  0.250
V  0.500  0.500  0.000
V  0.500  0.500  0.500
F  0.183  0.798  0.032
F  0.202  0.817  0.468
F  0.234  0.284  0.376
F  0.284  0.234  0.876
F  0.401  0.599  0.750
F  0.599  0.401  0.250
F  0.716  0.766  0.124
F  0.766  0.716  0.624
F  0.798  0.183  0.532
F  0.817  0.202  0.968